# Na2SmHoS4
Computed powder diffractogram, Cu Kα. Input: a DFT-relaxed cell (GGA-PBE, Alexandria).
Neutral-atom scattering factors, no anomalous dispersion.

Main lines, low angle first (10° ≤ 2θ ≤ 90°):
2θ 13.24, d 6.688, intensity 82.9
2θ 25.96, d 3.432, intensity 43.1
2θ 27.10, d 3.291, intensity 29.8
2θ 31.26, d 2.861, intensity 100.0
2θ 34.08, d 2.631, intensity 17.7
2θ 40.77, d 2.213, intensity 18.4
2θ 44.51, d 2.035, intensity 35.4
2θ 45.08, d 2.011, intensity 35.3
2θ 47.19, d 1.926, intensity 20.8
2θ 55.88, d 1.645, intensity 18.1

Crystal structure
```
8
Lattice="6.968 0.000 0.000 0.000 4.022 0.000 -2.319 0.000 6.688" Properties=species:S:1:pos:R:3 pbc="T T T"
Na 0.000 0.000 0.000
Na 3.484 2.011 0.000
Sm -1.160 2.011 3.344
Ho 2.324 0.000 3.344
S 0.043 0.000 4.880
S 1.202 2.011 1.827
S 3.446 2.011 4.861
S 4.606 0.000 1.808
```



# NpZnSi4
Computed powder diffractogram, Cu Kα. Input: a DFT-relaxed cell (GGA-PBE, Alexandria).
Neutral-atom scattering factors, no anomalous dispersion.

Main lines, low angle first (10° ≤ 2θ ≤ 90°):
2θ 21.09, d 4.213, intensity 74.4
2θ 24.40, d 3.648, intensity 28.5
2θ 34.77, d 2.580, intensity 83.7
2θ 41.02, d 2.200, intensity 100.0
2θ 54.84, d 1.674, intensity 19.8
2θ 62.34, d 1.489, intensity 31.4
2θ 66.60, d 1.404, intensity 32.5
2θ 73.41, d 1.290, intensity 18.1
2θ 77.37, d 1.233, intensity 14.4
2θ 83.86, d 1.154, intensity 13.9

Crystal structure
```
6
Lattice="0.000 3.648 3.648 3.648 0.000 3.648 3.648 3.648 0.000" Properties=species:S:1:pos:R:3 pbc="T T T"
Np 0.000 0.000 0.000
Zn 5.473 5.473 5.473
Si 2.745 2.745 2.745
Si 4.551 4.551 2.745
Si 4.551 2.745 4.551
Si 2.745 4.551 4.551
```



# AcPrTe2I
Computed powder diffractogram, Cu Kα. Input: a DFT-relaxed cell (GGA-PBE, Alexandria).
Neutral-atom scattering factors, no anomalous dispersion.

Main lines, low angle first (10° ≤ 2θ ≤ 90°):
2θ 26.40, d 3.376, intensity 100.0
2θ 27.02, d 3.300, intensity 58.9
2θ 28.60, d 3.121, intensity 51.1
2θ 34.32, d 2.613, intensity 31.8
2θ 35.15, d 2.553, intensity 97.1
2θ 37.68, d 2.387, intensity 90.6
2θ 47.98, d 1.896, intensity 49.4
2θ 54.35, d 1.688, intensity 32.1
2θ 56.46, d 1.630, intensity 33.7
2θ 69.88, d 1.346, intensity 33.2

Crystal structure
```
10
Lattice="4.775 0.000 0.000 0.000 4.775 0.000 0.000 0.000 15.607" Properties=species:S:1:pos:R:3 pbc="T T T"
Ac 1.194 1.194 1.449
Ac 3.581 3.581 14.157
Pr 1.194 1.194 10.131
Pr 3.581 3.581 5.475
Te 1.194 1.194 4.734
Te 1.194 1.194 13.622
Te 3.581 3.581 1.985
Te 3.581 3.581 10.873
I 1.194 3.581 7.803
I 3.581 1.194 7.803
```



# TaTi2Bi2
Computed powder diffractogram, Cu Kα. Input: a DFT-relaxed cell (GGA-PBE, Alexandria).
Neutral-atom scattering factors, no anomalous dispersion.

Main lines, low angle first (10° ≤ 2θ ≤ 90°):
2θ 24.92, d 3.573, intensity 51.7
2θ 25.95, d 3.433, intensity 45.4
2θ 36.29, d 2.476, intensity 100.0
2θ 37.03, d 2.428, intensity 65.6
2θ 45.15, d 2.008, intensity 45.4
2θ 51.13, d 1.786, intensity 14.6
2θ 55.66, d 1.651, intensity 12.5
2θ 59.76, d 1.547, intensity 11.5
2θ 64.80, d 1.439, intensity 25.8
2θ 71.21, d 1.324, intensity 21.0

Crystal structure
```
10
Lattice="7.677 0.000 0.000 0.000 7.677 0.000 0.000 0.000 3.573" Properties=species:S:1:pos:R:3 pbc="T T T"
Ta 0.000 0.000 0.000
Ta 3.839 3.839 0.000
Ti 1.100 2.739 1.786
Ti 2.739 6.578 1.786
Ti 4.939 1.100 1.786
Ti 6.578 4.939 1.786
Bi 1.177 5.015 0.000
Bi 2.662 1.177 0.000
Bi 5.015 6.501 0.000
Bi 6.501 2.662 0.000
```